Simulated XRD peak list of InH4NCl4 for copper Kα, from DFT lattice parameters and positions (PBE).

Crystal structure
abc: 7.164 7.164 15.649
angles: 90.00 90.00 90.00
Space group I4_1/a (No. 88, origin choice 2)
Symmetry-distinct sites (fractional):
1 In 0.000 0.250 0.125
2 H 0.003 0.367 0.663
3 N 0.000 0.250 0.625
4 Cl 0.147 0.488 0.209

Main lines, by intensity (15° ≤ 2θ ≤ 90°):
| 2θ/deg | I (rel.) | index |
| --- | --- | --- |
| 20.89 | 100.0 | 1 1 2 |
| 33.93 | 47.6 | 2 0 4 |
| 21.07 | 45.1 | 1 0 3 |
| 28.43 | 36.3 | 1 2 1 |
| 41.50 | 29.0 | 1 3 2 |
| 40.28 | 23.1 | 2 1 5 |
| 28.83 | 22.6 | 1 1 4 |
| 53.58 | 19.9 | 3 1 6 |
| 35.44 | 18.7 | 2 2 0 |
| 32.80 | 16.2 | 2 1 3 |
| 46.04 | 15.8 | 2 3 1 |
| 38.83 | 15.6 | 1 1 6 |